Record 1
Structure and computed XRD peak list of LiVF6 (the PBE+U geometry in Alexandria; a wavelength of 1.5418 Å).

Principal peaks in the range 5 to 70 degrees two-theta, in order of falling intensity:
two_theta  I (rel.)  h k l
18.2  100  1 0 0
25.8  44  1 0 1
41.4  25  2 0 1
53.0  13  2 0 2
53.1  11  2 1 1
49.3  9  1 1 2

a = 5.6293 Å, b = 5.6293 Å, c = 4.8996 Å
α = 90.00°, β = 90.00°, γ = 120.00°
Space group P3m1 (No. 156)
One atom of each set of equivalent atoms:
Li (0.0000, 0.0000, 0.0000)
V (0.6667, 0.3333, 0.3400)
F (0.3628, 0.1814, 0.1108)
F (0.5146, 0.0292, 0.5396)

Record 2
Structure and computed XRD peak list of LiV3F10 (the PBE+U geometry in Alexandria; a wavelength of 1.5418 Å).

Principal peaks in the range 5 to 70 degrees two-theta, in order of falling intensity:
two_theta  I (rel.)  h k l
23.2  100  2 0 0
18.2  75  0 1 1
27.7  63  0 2 1
13.7  56  0 0 1
55.7  36  4 0 2
11.9  36  0 1 0

a = 7.6803 Å, b = 7.4298 Å, c = 6.4701 Å
α = 90.00°, β = 90.00°, γ = 90.00°
Space group Pmma (No. 51)
One atom of each set of equivalent atoms:
Li (0.2500, 0.0000, 0.1561)
V (0.0000, 0.2334, 0.5000)
V (0.0000, 0.5000, 0.0000)
F (0.0000, 0.5000, 0.5000)
F (0.0517, 0.3008, 0.1965)
F (0.0628, 0.0000, 0.3375)
F (0.2500, 0.2284, 0.5832)
F (0.2500, 0.5000, 0.9223)